[1]
Diffraction record for Y8C3O4. The powder diffractogram is theoretical, not measured: it uses a crystal structure in Alexandria, relaxed with GGA-PBE and a wavelength of 1.5418 Å.
Lines closer than 0.1° are merged.

Structure:
a b c (Å): 7.3486 7.3486 7.3486
angles (deg): 57.33 57.33 57.33
Element x y z (fractional)
Y 0.2393 0.2393 0.2393
Y 0.2424 0.7436 0.7436
Y 0.2564 0.2564 0.7576
Y 0.2564 0.7576 0.2564
Y 0.7436 0.2424 0.7436
Y 0.7436 0.7436 0.2424
Y 0.7576 0.2564 0.2564
Y 0.7607 0.7607 0.7607
C 0.0000 0.0000 0.5000
C 0.0000 0.5000 0.0000
C 0.5000 0.0000 0.0000
O 0.0000 0.0000 0.0000
O 0.3582 0.3582 0.3582
O 0.5000 0.5000 0.5000
O 0.6418 0.6418 0.6418

Top 12 peaks for 2θ from 5° to 70°, low angle first:
- 2θ = 14.48°, 6.118 Å, I 6
- 2θ = 29.19°, 3.059 Å, I 33
- 2θ = 30.87°, 2.897 Å, I 100
- 2θ = 35.31°, 2.542 Å, I 88
- 2θ = 45.61°, 1.989 Å, I 7
- 2θ = 49.71°, 1.834 Å, I 32
- 2θ = 51.88°, 1.762 Å, I 34
- 2θ = 58.69°, 1.573 Å, I 13
- 2θ = 60.53°, 1.530 Å, I 4
- 2θ = 60.64°, 1.527 Å, I 25
- 2θ = 61.60°, 1.506 Å, I 14
- 2θ = 64.32°, 1.448 Å, I 14

[2]
Diffraction record for Pr8Y5Th. The powder diffractogram is theoretical, not measured: it uses a crystal structure in Alexandria, relaxed with GGA-PBE and a wavelength of 1.5418 Å.
Lines closer than 0.1° are merged.

Structure:
a b c (Å): 7.1883 8.8002 9.0977
angles (deg): 114.67 101.48 101.78
Element x y z (fractional)
Pr 0.0000 0.0000 0.0000
Pr 0.0275 0.8255 0.2773
Pr 0.1098 0.5592 0.8654
Pr 0.5268 0.8371 0.2802
Pr 0.7001 0.1218 0.7126
Pr 0.8057 0.6776 0.5524
Pr 0.8857 0.4021 0.1416
Pr 0.9179 0.2409 0.4216
Y 0.2110 0.1186 0.7110
Y 0.3101 0.6826 0.5586
Y 0.3881 0.4090 0.1385
Y 0.4149 0.2458 0.4204
Y 0.5999 0.5657 0.8680
Th 0.4981 0.0027 0.0061

Top 12 peaks for 2θ from 5° to 70°, low angle first:
- 2θ = 26.72°, 3.336 Å, I 21
- 2θ = 29.45°, 3.033 Å, I 70
- 2θ = 30.42°, 2.939 Å, I 100
- 2θ = 30.59°, 2.922 Å, I 87
- 2θ = 30.75°, 2.907 Å, I 93
- 2θ = 31.71°, 2.821 Å, I 90
- 2θ = 32.34°, 2.768 Å, I 80
- 2θ = 32.63°, 2.744 Å, I 22
- 2θ = 46.96°, 1.935 Å, I 34
- 2θ = 50.80°, 1.797 Å, I 31
- 2θ = 56.47°, 1.630 Å, I 27
- 2θ = 61.14°, 1.516 Å, I 28